The following is a calculated powder XRD pattern of Zr2Ni3P3. It was derived from a cell relaxed with GGA-PBE, using CuKα.

Main lines, in order of falling intensity (5° ≤ 2θ ≤ 70°):
| 2θ/deg | I (rel.) | index |
| --- | --- | --- |
| 39.4 | 100 | 2 1 3 |
| 36.5 | 50 | 0 1 3 |
| 37.6 | 50 | 3 1 2 |
| 38.2 | 44 | 4 1 0 |
| 50.3 | 43 | 0 2 0 |
| 31.2 | 35 | 1 1 2 |
| 48.1 | 25 | 5 1 2 |
| 46.6 | 18 | 4 0 4 |
| 52.1 | 17 | 6 0 3 |
| 34.1 | 15 | 3 1 1 |
| 28.9 | 15 | 4 0 0 |
| 39.7 | 13 | 4 0 3 |

Cell lengths 12.364, 3.629, 10.060 Å; angles 90.00, 90.00, 90.00 degrees
Space group Pnma (No. 62)
Inequivalent atoms, fractional coordinates:
Zr 0.005 0.250 0.163 x4
Zr 0.209 0.750 0.575 x4
Ni 0.016 0.250 0.596 x4
Ni 0.165 0.750 0.274 x4
Ni 0.218 0.750 0.865 x4
P 0.102 0.250 0.398 x4
P 0.129 0.750 0.054 x4
P 0.145 0.250 0.763 x4